[1]
Diffraction record for Rb3Ac2PrSe6. The PXRD pattern is computed, not measured: it uses a cell relaxed with GGA-PBE and Cu Kα.
Intensities are scaled so that the largest is 100.

The 10 most intense peaks (10 to 80 degrees two-theta), low angle first:
2θ 11.00, I = 31; 2θ 27.04, I = 100; 2θ 34.58, I = 12; 2θ 37.54, I = 12; 2θ 37.57, I = 24; 2θ 39.64, I = 38; 2θ 48.65, I = 20; 2θ 55.76, I = 11; 2θ 61.57, I = 13; 2θ 64.49, I = 17

Cell: 10.6244 10.6244 9.6092 Å, 107.20 107.20 24.70°
Atoms (fractional coordinates):
Rb: 0.0000 0.0000 0.0000
Rb: 0.3332 0.3332 0.6664
Rb: 0.6667 0.6667 0.3336
Ac: 0.3350 0.3350 0.1699
Ac: 0.6650 0.6650 0.8301
Pr: 0.0000 0.0000 0.5000
Se: 0.1531 0.1531 0.6007
Se: 0.1758 0.1758 0.0604
Se: 0.4927 0.4927 0.2835
Se: 0.5073 0.5073 0.7165
Se: 0.8242 0.8242 0.9396
Se: 0.8469 0.8469 0.3993

---

[2]
Diffraction record for Tb5NdHo12. The PXRD pattern is computed, not measured: it uses a cell relaxed with GGA-PBE and Cu Kα.
Intensities are scaled so that the largest is 100.

The 10 most intense peaks (10 to 80 degrees two-theta), low angle first:
2θ 30.93, I = 100; 2θ 35.86, I = 51; 2θ 51.52, I = 6; 2θ 51.64, I = 30; 2θ 61.37, I = 29; 2θ 61.46, I = 14; 2θ 64.39, I = 6; 2θ 64.51, I = 6; 2θ 75.96, I = 4; 2θ 76.11, I = 2

Cell: 10.6202 10.6202 6.1330 Å, 106.65 106.65 59.98°
Atoms (fractional coordinates):
Tb: 0.0000 0.0000 0.0000
Tb: 0.1667 0.1667 0.4998
Tb: 0.3327 0.3327 0.9989
Tb: 0.6673 0.6673 0.0011
Tb: 0.8333 0.8333 0.5002
Nd: 0.5000 0.5000 0.5000
Ho: 0.9999 0.3335 0.9995
Ho: 0.0001 0.6665 0.0005
Ho: 0.1652 0.5003 0.4996
Ho: 0.1661 0.8339 0.5000
Ho: 0.3320 0.6680 0.0000
Ho: 0.3335 0.9999 0.9995
Ho: 0.5003 0.1652 0.4996
Ho: 0.4997 0.8348 0.5004
Ho: 0.6665 0.0001 0.0005
Ho: 0.6680 0.3320 0.0000
Ho: 0.8339 0.1661 0.5000
Ho: 0.8348 0.4997 0.5004

---

[3]
Diffraction record for ReMo3W4. The PXRD pattern is computed, not measured: it uses a cell relaxed with GGA-PBE and Cu Kα.
Intensities are scaled so that the largest is 100.

The 10 most intense peaks (10 to 80 degrees two-theta), low angle first:
2θ 13.98, I = 1; 2θ 19.82, I = 4; 2θ 24.33, I = 1; 2θ 34.68, I = 2; 2θ 40.26, I = 100; 2θ 45.26, I = 1; 2θ 54.17, I = 1; 2θ 58.25, I = 17; 2θ 73.18, I = 35; 2θ 76.70, I = 1

Cell: 6.3357 6.3340 6.3368 Å, 90.00 90.00 90.00°
Atoms (fractional coordinates):
Re: 0.0000 0.0000 0.0000
Re: 0.5000 0.0000 0.5000
Mo: 0.0000 0.5000 0.0000
Mo: 0.2500 0.2504 0.2500
Mo: 0.2500 0.7496 0.7500
Mo: 0.5000 0.5000 0.5000
Mo: 0.7500 0.2504 0.2500
Mo: 0.7500 0.7496 0.7500
W: 0.0000 0.0000 0.5000
W: 0.0000 0.5000 0.5000
W: 0.2500 0.2495 0.7500
W: 0.2500 0.7505 0.2500
W: 0.5000 0.0000 0.0000
W: 0.5000 0.5000 0.0000
W: 0.7500 0.2495 0.7500
W: 0.7500 0.7505 0.2500